Structure and theoretical PXRD pattern of PmTh2Pd7 (the PBE geometry in Alexandria; CuKα).
Kinematic intensities with the Lorentz-polarization factor, no thermal factor.

Largest 10 diffraction maxima, sorted by position, 15° ≤ 2θ ≤ 90°:
2θ = 19.13°, d 4.640, intensity 18.7; 2θ = 24.16°, d 3.683, intensity 77.6; 2θ = 37.31°, d 2.410, intensity 100.0; 2θ = 37.73°, d 2.384, intensity 96.7; 2θ = 38.20°, d 2.356, intensity 24.2; 2θ = 41.67°, d 2.167, intensity 36.7; 2θ = 44.54°, d 2.034, intensity 60.6; 2θ = 62.63°, d 1.483, intensity 45.1; 2θ = 76.98°, d 1.239, intensity 24.0; 2θ = 77.76°, d 1.228, intensity 26.4

Structural model:
```
data_PmTh2Pd7
_chemical_formula_sum 'Pm1 Th2 Pd7'
_space_group_name_H-M_alt 'P 1'
_space_group_IT_number 1
_cell_length_a 9.600
_cell_length_b 9.043
_cell_length_c 5.215
_cell_angle_alpha 79.73
_cell_angle_beta 67.96
_cell_angle_gamma 32.31
loop_
_space_group_symop_operation_xyz
'x,y,z'
loop_
_atom_site_label
_atom_site_type_symbol
_atom_site_fract_x
_atom_site_fract_y
_atom_site_fract_z
Pm1 Pm 0.000 0.000 0.000
Th1 Th 0.331 0.331 0.669
Th2 Th 0.669 0.669 0.331
Pd1 Pd 0.085 0.085 0.415
Pd2 Pd 0.250 0.250 0.250
Pd3 Pd 0.415 0.415 0.085
Pd4 Pd 0.500 0.500 0.500
Pd5 Pd 0.585 0.585 0.915
Pd6 Pd 0.750 0.750 0.750
Pd7 Pd 0.915 0.915 0.585
```